# 1
# Tm3Si8Ru3
Computed X-ray powder pattern, CuKα. Input: the PBE geometry in Alexandria.
Neutral-atom scattering factors, no anomalous dispersion.

Top 10 peaks for 2θ from 10° to 90°, low angle first:
hkl 2 0 -2, 21.17°, rel. 25
hkl 3 1 0, 29.86°, rel. 100
hkl 3 1 -2, 31.58°, rel. 58
hkl 1 1 2, 35.78°, rel. 70
hkl 6 0 -2, 36.36°, rel. 47
hkl 0 0 3, 36.64°, rel. 28
hkl 3 1 -3, 38.88°, rel. 32
hkl 5 1 -3, 42.35°, rel. 25
hkl 0 2 0, 43.87°, rel. 46
hkl 6 2 -2, 58.25°, rel. 24

Cell and atoms:
a b c (Å): 14.9297 4.1272 8.4274
angles (deg): 90.00 119.18 90.00
Space group C2/m (No. 12)
Unique sites:
Tm (0.0000, 0.0000, 0.0000) (multiplicity 2)
Tm (0.2051, 0.5000, 0.6558) (multiplicity 4)
Si (0.0154, 0.5000, 0.7021) (multiplicity 4)
Si (0.1165, 0.0000, 0.3827) (multiplicity 4)
Si (0.1382, 0.5000, 0.2521) (multiplicity 4)
Si (0.1406, 0.0000, 0.8399) (multiplicity 4)
Ru (0.0000, 0.0000, 0.5000) (multiplicity 2)
Ru (0.1744, 0.5000, 0.0066) (multiplicity 4)

---

# 2
# U2Si3Ru5
Computed X-ray powder pattern, CuKα. Input: the PBE geometry in Alexandria.
Neutral-atom scattering factors, no anomalous dispersion.

Top 10 peaks for 2θ from 10° to 90°, low angle first:
hkl 0 6 0, 21.95°, rel. 14
hkl 1 3 0, 24.55°, rel. 19
hkl 0 6 2, 35.71°, rel. 25
hkl 1 7 1, 36.86°, rel. 54
hkl 1 3 2, 37.43°, rel. 100
hkl 0 10 1, 39.67°, rel. 23
hkl 1 9 0, 40.13°, rel. 38
hkl 2 0 0, 44.70°, rel. 32
hkl 0 4 3, 44.93°, rel. 16
hkl 1 13 3, 70.88°, rel. 20

Cell and atoms:
a b c (Å): 4.0549 24.2916 6.4168
angles (deg): 90.00 90.00 90.00
Space group Cmc2_1 (No. 36)
Unique sites:
U (0.0000, 0.0115, 0.0000) (multiplicity 4)
U (0.0000, 0.3254, 0.9921) (multiplicity 4)
Si (0.0000, 0.1103, 0.2303) (multiplicity 4)
Si (0.0000, 0.2714, 0.4812) (multiplicity 4)
Si (0.0000, 0.4463, 0.2300) (multiplicity 4)
Ru (0.0000, 0.1038, 0.6459) (multiplicity 4)
Ru (0.0000, 0.2054, 0.7686) (multiplicity 4)
Ru (0.0000, 0.2089, 0.1875) (multiplicity 4)
Ru (0.0000, 0.3701, 0.4905) (multiplicity 4)
Ru (0.0000, 0.4457, 0.8447) (multiplicity 4)

---

# 3
# U2ZnSi2Ru5
Computed X-ray powder pattern, CuKα. Input: the PBE geometry in Alexandria.
Neutral-atom scattering factors, no anomalous dispersion.

Top 10 peaks for 2θ from 10° to 90°, low angle first:
hkl 2 1 0, 20.36°, rel. 25
hkl 2 1 1, 33.52°, rel. 91
hkl 2 2 1, 37.23°, rel. 24
hkl 4 1 0, 38.04°, rel. 88
hkl 3 3 0, 39.19°, rel. 27
hkl 3 1 1, 39.54°, rel. 100
hkl 4 2 0, 41.41°, rel. 22
hkl 3 2 1, 42.80°, rel. 31
hkl 0 0 2, 54.22°, rel. 24
hkl 4 1 2, 68.14°, rel. 32

Cell and atoms:
a b c (Å): 9.7524 9.7524 3.3839
angles (deg): 90.00 90.00 90.00
Space group P4/mbm (No. 127)
Unique sites:
U (0.1759, 0.3241, 0.0000) (multiplicity 4)
Zn (0.0000, 0.0000, 0.0000) (multiplicity 2)
Si (0.1239, 0.6239, 0.0000) (multiplicity 4)
Ru (0.0000, 0.5000, 0.5000) (multiplicity 2)
Ru (0.0768, 0.7917, 0.5000) (multiplicity 8)